The following is a calculated X-ray diffraction stick pattern of Lu2Nb4As3N3. It was derived from a DFT-relaxed cell (PBE, OQMD), using Cu Kα.

Crystal structure
a b c (Å): 5.881 5.881 12.550
angles (deg): 103.21 103.21 60.54
Sites, in units of the cell vectors:
Lu 0.034 0.868 0.604
Lu 0.132 0.966 0.896
Lu 0.868 0.034 0.104
Lu 0.966 0.132 0.396
Nb 0.196 0.371 0.088
Nb 0.312 0.461 0.412
Nb 0.371 0.196 0.588
Nb 0.461 0.312 0.912
Nb 0.539 0.688 0.088
Nb 0.629 0.804 0.412
Nb 0.688 0.539 0.588
Nb 0.804 0.629 0.912
As 0.080 0.277 0.750
As 0.277 0.080 0.250
As 0.439 0.561 0.750
As 0.561 0.439 0.250
As 0.723 0.920 0.750
As 0.920 0.723 0.250
N 0.000 0.500 0.500
N 0.160 0.681 0.000
N 0.319 0.840 0.500
N 0.500 0.000 0.000
N 0.681 0.160 0.500
N 0.840 0.319 0.000

Principal peaks in the range 15 to 90 degrees two-theta, by angle:
| 2θ (°) | I (rel.) |
| --- | --- |
| 30.14 | 30 |
| 30.40 | 57 |
| 37.65 | 100 |
| 37.78 | 100 |
| 37.95 | 99 |
| 44.94 | 31 |
| 53.70 | 53 |
| 54.18 | 26 |
| 55.08 | 21 |
| 67.29 | 17 |
| 67.74 | 17 |
| 72.68 | 22 |

The following is a calculated X-ray diffraction stick pattern of Al2ZnCu4Ni. It was derived from a DFT-relaxed cell (PBE, OQMD), using Cu Kα.

Crystal structure
a b c (Å): 4.123 4.123 5.858
angles (deg): 90.00 90.00 90.00
Sites, in units of the cell vectors:
Al 0.000 0.000 0.000
Al 0.500 0.500 0.500
Zn 0.000 0.000 0.500
Cu 0.000 0.500 0.248
Cu 0.000 0.500 0.752
Cu 0.500 0.000 0.248
Cu 0.500 0.000 0.752
Ni 0.500 0.500 0.000

Principal peaks in the range 15 to 90 degrees two-theta, by angle:
| 2θ (°) | I (rel.) |
| --- | --- |
| 26.43 | 12 |
| 30.52 | 2 |
| 30.66 | 5 |
| 43.81 | 100 |
| 43.92 | 50 |
| 51.80 | 2 |
| 51.99 | 4 |
| 54.42 | 2 |
| 63.52 | 8 |
| 63.85 | 15 |
| 80.43 | 15 |
| 80.66 | 29 |

The following is a calculated X-ray diffraction stick pattern of Nd2ErBi3. It was derived from a DFT-relaxed cell (PBE, OQMD), using Cu Kα.

Crystal structure
a b c (Å): 4.533 4.533 11.130
angles (deg): 90.00 90.00 120.00
Sites, in units of the cell vectors:
Nd 0.333 0.667 0.329
Nd 0.667 0.333 0.671
Er 0.000 0.000 0.000
Bi 0.000 0.000 0.500
Bi 0.333 0.667 0.843
Bi 0.667 0.333 0.157

Principal peaks in the range 15 to 90 degrees two-theta, by angle:
| 2θ (°) | I (rel.) |
| --- | --- |
| 24.02 | 4 |
| 27.81 | 100 |
| 39.74 | 78 |
| 46.96 | 3 |
| 49.11 | 7 |
| 49.22 | 21 |
| 57.45 | 13 |
| 65.01 | 37 |
| 72.01 | 6 |
| 72.16 | 21 |
| 85.56 | 4 |
| 85.72 | 5 |

The following is a calculated X-ray diffraction stick pattern of K4Ag7Ge2. It was derived from a DFT-relaxed cell (PBE, OQMD), using Cu Kα.

Crystal structure
a b c (Å): 10.674 10.674 10.674
angles (deg): 35.27 35.27 35.27
Sites, in units of the cell vectors:
K 0.185 0.185 0.185
K 0.313 0.313 0.313
K 0.687 0.687 0.687
K 0.815 0.815 0.815
Ag 0.277 0.277 0.713
Ag 0.277 0.713 0.277
Ag 0.287 0.723 0.723
Ag 0.500 0.500 0.500
Ag 0.713 0.277 0.277
Ag 0.723 0.287 0.723
Ag 0.723 0.723 0.287
Ge 0.042 0.042 0.042
Ge 0.958 0.958 0.958

Principal peaks in the range 15 to 90 degrees two-theta, by angle:
| 2θ (°) | I (rel.) |
| --- | --- |
| 16.90 | 100 |
| 17.74 | 40 |
| 28.65 | 31 |
| 32.52 | 38 |
| 32.99 | 52 |
| 34.17 | 86 |
| 38.80 | 16 |
| 40.19 | 19 |
| 44.24 | 16 |
| 52.30 | 18 |
| 53.88 | 18 |
| 56.95 | 26 |

The following is a calculated X-ray diffraction stick pattern of Te3Os2W. It was derived from a DFT-relaxed cell (PBE, OQMD), using Cu Kα.

Crystal structure
a b c (Å): 4.238 4.238 6.879
angles (deg): 90.00 90.00 90.00
Sites, in units of the cell vectors:
Te 0.000 0.000 0.000
Te 0.000 0.500 0.625
Te 0.500 0.000 0.375
Os 0.000 0.500 0.216
Os 0.500 0.000 0.784
W 0.500 0.500 0.000

Principal peaks in the range 15 to 90 degrees two-theta, by angle:
| 2θ (°) | I (rel.) |
| --- | --- |
| 24.67 | 32 |
| 29.82 | 26 |
| 32.59 | 68 |
| 33.56 | 63 |
| 39.90 | 100 |
| 42.67 | 85 |
| 44.95 | 40 |
| 55.35 | 30 |
| 61.93 | 28 |
| 63.70 | 28 |
| 76.25 | 30 |
| 83.84 | 19 |

The following is a calculated X-ray diffraction stick pattern of NdAl2Cu2Pd. It was derived from a DFT-relaxed cell (PBE, OQMD), using Cu Kα.

Crystal structure
a b c (Å): 5.308 5.308 4.214
angles (deg): 90.00 90.00 119.70
Sites, in units of the cell vectors:
Nd 0.000 0.000 0.000
Al 0.000 0.500 0.500
Al 0.500 0.000 0.500
Cu 0.325 0.675 0.000
Cu 0.675 0.325 0.000
Pd 0.500 0.500 0.500

Principal peaks in the range 15 to 90 degrees two-theta, by angle:
| 2θ (°) | I (rel.) |
| --- | --- |
| 19.33 | 16 |
| 28.70 | 59 |
| 33.62 | 31 |
| 33.77 | 16 |
| 39.07 | 18 |
| 40.02 | 17 |
| 40.15 | 100 |
| 42.92 | 27 |
| 55.59 | 14 |
| 64.54 | 24 |
| 76.76 | 19 |
| 86.72 | 13 |

The following is a calculated X-ray diffraction stick pattern of Ta2Co2SiSn. It was derived from a DFT-relaxed cell (PBE, OQMD), using Cu Kα.

Crystal structure
a b c (Å): 9.749 3.977 9.988
angles (deg): 90.00 106.78 90.00
Sites, in units of the cell vectors:
Ta 0.000 0.000 0.000
Ta 0.014 0.500 0.211
Ta 0.253 0.000 0.503
Ta 0.278 0.500 0.087
Ta 0.496 0.000 0.298
Ta 0.574 0.500 0.897
Ta 0.740 0.000 0.105
Ta 0.809 0.500 0.667
Co 0.081 0.500 0.481
Co 0.197 0.000 0.872
Co 0.281 0.500 0.354
Co 0.451 0.000 0.770
Co 0.542 0.500 0.136
Co 0.696 0.000 0.533
Co 0.832 0.500 0.931
Co 0.951 0.000 0.313
Si 0.056 0.500 0.853
Si 0.211 0.000 0.232
Si 0.440 0.000 0.013
Si 0.713 0.000 0.802
Sn 0.271 0.500 0.728
Sn 0.507 0.500 0.558
Sn 0.762 0.500 0.354
Sn 0.991 0.000 0.598

Principal peaks in the range 15 to 90 degrees two-theta, by angle:
| 2θ (°) | I (rel.) |
| --- | --- |
| 27.06 | 50 |
| 32.45 | 55 |
| 35.70 | 67 |
| 35.99 | 20 |
| 36.93 | 100 |
| 37.23 | 36 |
| 38.56 | 81 |
| 44.22 | 26 |
| 45.02 | 79 |
| 45.62 | 76 |
| 61.23 | 42 |
| 62.94 | 19 |

The following is a calculated X-ray diffraction stick pattern of LiOsNO. It was derived from a DFT-relaxed cell (PBE, OQMD), using Cu Kα.

Crystal structure
a b c (Å): 2.744 3.118 4.119
angles (deg): 90.00 90.00 90.00
Sites, in units of the cell vectors:
Li 0.000 0.000 0.000
Os 0.500 0.500 0.500
N 0.000 0.000 0.500
O 0.500 0.500 0.000

Principal peaks in the range 15 to 90 degrees two-theta, by angle:
| 2θ (°) | I (rel.) |
| --- | --- |
| 21.58 | 100 |
| 28.63 | 54 |
| 32.64 | 38 |
| 36.13 | 45 |
| 39.46 | 36 |
| 43.96 | 72 |
| 49.47 | 45 |
| 53.31 | 19 |
| 55.82 | 17 |
| 63.90 | 41 |
| 75.72 | 13 |
| 84.91 | 17 |

The following is a calculated X-ray diffraction stick pattern of Co3W2. It was derived from a DFT-relaxed cell (PBE, OQMD), using Cu Kα.

Crystal structure
a b c (Å): 9.095 9.095 4.670
angles (deg): 90.00 90.00 90.00
Sites, in units of the cell vectors:
Co 0.000 0.000 0.000
Co 0.066 0.256 0.000
Co 0.184 0.816 0.250
Co 0.184 0.816 0.750
Co 0.244 0.566 0.500
Co 0.256 0.066 0.000
Co 0.316 0.316 0.250
Co 0.316 0.316 0.750
Co 0.434 0.756 0.500
Co 0.500 0.500 0.500
Co 0.566 0.244 0.500
Co 0.684 0.684 0.250
Co 0.684 0.684 0.750
Co 0.744 0.934 0.000
Co 0.756 0.434 0.500
Co 0.816 0.184 0.250
Co 0.816 0.184 0.750
Co 0.934 0.744 0.000
W 0.035 0.367 0.500
W 0.099 0.099 0.500
W 0.133 0.535 0.000
W 0.367 0.035 0.500
W 0.401 0.599 0.000
W 0.465 0.867 0.000
W 0.535 0.133 0.000
W 0.599 0.401 0.000
W 0.633 0.965 0.500
W 0.867 0.465 0.000
W 0.901 0.901 0.500
W 0.965 0.633 0.500

Principal peaks in the range 15 to 90 degrees two-theta, by angle:
| 2θ (°) | I (rel.) |
| --- | --- |
| 19.52 | 18 |
| 21.39 | 22 |
| 35.30 | 15 |
| 36.70 | 26 |
| 38.56 | 32 |
| 40.91 | 40 |
| 42.15 | 23 |
| 43.57 | 24 |
| 44.76 | 30 |
| 45.48 | 100 |
| 46.62 | 38 |
| 74.63 | 25 |

The following is a calculated X-ray diffraction stick pattern of Cu2SiAs. It was derived from a DFT-relaxed cell (PBE, OQMD), using Cu Kα.

Crystal structure
a b c (Å): 6.159 6.159 6.159
angles (deg): 90.00 90.00 90.00
Sites, in units of the cell vectors:
Cu 0.234 0.234 0.234
Cu 0.234 0.234 0.766
Cu 0.234 0.766 0.234
Cu 0.234 0.766 0.766
Cu 0.766 0.234 0.234
Cu 0.766 0.234 0.766
Cu 0.766 0.766 0.234
Cu 0.766 0.766 0.766
Si 0.000 0.000 0.000
Si 0.000 0.000 0.500
Si 0.000 0.500 0.000
Si 0.500 0.000 0.000
As 0.000 0.500 0.500
As 0.500 0.000 0.500
As 0.500 0.500 0.000
As 0.500 0.500 0.500

Principal peaks in the range 15 to 90 degrees two-theta, by angle:
| 2θ (°) | I (rel.) |
| --- | --- |
| 25.04 | 3 |
| 28.99 | 2 |
| 32.51 | 10 |
| 41.47 | 100 |
| 44.11 | 4 |
| 49.05 | 1 |
| 60.09 | 15 |
| 62.14 | 4 |
| 70.00 | 2 |
| 75.64 | 28 |
| 77.49 | 2 |
| 84.76 | 3 |

The following is a calculated X-ray diffraction stick pattern of PrCuSnS3. It was derived from a DFT-relaxed cell (PBE, OQMD), using Cu Kα.

Crystal structure
a b c (Å): 11.120 4.114 11.405
angles (deg): 90.00 90.00 90.00
Sites, in units of the cell vectors:
Pr 0.014 0.250 0.180
Pr 0.486 0.750 0.680
Pr 0.514 0.250 0.320
Pr 0.986 0.750 0.820
Cu 0.246 0.750 0.293
Cu 0.254 0.250 0.793
Cu 0.746 0.750 0.207
Cu 0.754 0.250 0.707
Sn 0.172 0.250 0.512
Sn 0.328 0.750 0.012
Sn 0.672 0.250 0.988
Sn 0.828 0.750 0.488
S 0.047 0.750 0.364
S 0.110 0.250 0.940
S 0.223 0.750 0.692
S 0.277 0.250 0.192
S 0.390 0.750 0.440
S 0.453 0.250 0.864
S 0.547 0.750 0.136
S 0.610 0.250 0.560
S 0.723 0.750 0.808
S 0.777 0.250 0.308
S 0.890 0.750 0.060
S 0.953 0.250 0.636

Principal peaks in the range 15 to 90 degrees two-theta, by angle:
| 2θ (°) | I (rel.) |
| --- | --- |
| 24.75 | 54 |
| 25.27 | 59 |
| 26.96 | 31 |
| 27.92 | 63 |
| 28.09 | 78 |
| 31.27 | 42 |
| 33.09 | 100 |
| 35.95 | 62 |
| 36.22 | 30 |
| 39.29 | 34 |
| 44.02 | 50 |
| 46.76 | 30 |